# 1
Theoretical X-ray powder pattern of Bi14Pb4Cl8O21 for Cu Kα X-rays, from the PBE geometry in the Materials Project.
No peak broadening, texture or thermal motion is included.

Main lines, in order of rising 2θ (10° ≤ 2θ ≤ 90°):
| index | Position (°2θ) | I/Imax |
| --- | --- | --- |
| 2 0 1 | 11.3 | 36 |
| 1 1 1 | 23.7 | 28 |
| 4 0 -6 | 27.8 | 72 |
| 3 1 2 | 29.7 | 100 |
| 10 0 -2 | 31.2 | 46 |
| 7 1 -4 | 31.5 | 87 |

Atomic structure:
Lattice parameters (Å, degrees): 30.1851 3.9984 19.5327 90.00 125.34 90.00
Space group Cm (No. 8)
One atom of each set of equivalent atoms:
Bi 0.0000 0.0000 0.0000 (multiplicity 2)
Bi 0.0107 0.0000 0.5074 (multiplicity 2)
Bi 0.0627 0.0000 0.8647 (multiplicity 2)
Bi 0.0912 0.0000 0.4024 (multiplicity 2)
Bi 0.1184 0.5000 0.1029 (multiplicity 2)
Bi 0.1466 0.0000 0.7553 (multiplicity 2)
Bi 0.1886 0.5000 0.9463 (multiplicity 2)
Bi 0.2287 0.0000 0.6496 (multiplicity 2)
Bi 0.2729 0.5000 0.8425 (multiplicity 2)
Bi 0.3106 0.0000 0.5424 (multiplicity 2)
Bi 0.3552 0.5000 0.7366 (multiplicity 2)
Bi 0.3854 0.0000 0.4162 (multiplicity 2)
Bi 0.4110 0.5000 0.0950 (multiplicity 2)
Bi 0.4350 0.5000 0.6223 (multiplicity 2)
Pb 0.0429 0.5000 0.1951 (multiplicity 2)
Pb 0.1763 0.0000 0.3097 (multiplicity 2)
Pb 0.3258 0.5000 0.1959 (multiplicity 2)
Pb 0.4605 0.0000 0.2991 (multiplicity 2)
Cl 0.0409 0.5000 0.6876 (multiplicity 2)
Cl 0.1301 0.5000 0.6074 (multiplicity 2)
Cl 0.2125 0.5000 0.5143 (multiplicity 2)
Cl 0.2164 0.0000 0.0828 (multiplicity 2)
Cl 0.2894 0.0000 0.9749 (multiplicity 2)
Cl 0.2955 0.5000 0.4194 (multiplicity 2)
Cl 0.3649 0.0000 0.8756 (multiplicity 2)
Cl 0.4484 0.0000 0.7806 (multiplicity 2)
O 0.0140 0.0000 0.4017 (multiplicity 2)
O 0.0306 0.5000 0.0442 (multiplicity 2)
O 0.0532 0.5000 0.3472 (multiplicity 2)
O 0.0648 0.0000 0.9702 (multiplicity 2)
O 0.0904 0.0000 0.1224 (multiplicity 2)
O 0.0975 0.0000 0.2994 (multiplicity 2)
O 0.1065 0.5000 0.9107 (multiplicity 2)
O 0.1525 0.0000 0.8741 (multiplicity 2)
O 0.1589 0.5000 0.2394 (multiplicity 2)
O 0.1881 0.5000 0.8178 (multiplicity 2)
O 0.2297 0.0000 0.7708 (multiplicity 2)
O 0.2699 0.5000 0.7184 (multiplicity 2)
O 0.3118 0.0000 0.6699 (multiplicity 2)
O 0.3514 0.5000 0.6163 (multiplicity 2)
O 0.3736 0.5000 0.3360 (multiplicity 2)
O 0.3925 0.0000 0.5661 (multiplicity 2)
O 0.3993 0.5000 0.1995 (multiplicity 2)
O 0.4317 0.5000 0.5090 (multiplicity 2)
O 0.4458 0.0000 0.1571 (multiplicity 2)
O 0.4694 0.0000 0.4571 (multiplicity 2)
O 0.4845 0.5000 0.1003 (multiplicity 2)


# 2
Theoretical X-ray powder pattern of CaAg2O4 for Cu Kα X-rays, from the PBE geometry in the Materials Project.
No peak broadening, texture or thermal motion is included.

Main lines, in order of rising 2θ (10° ≤ 2θ ≤ 90°):
| index | Position (°2θ) | I/Imax |
| --- | --- | --- |
| 2 0 -2 | 16.4 | 21 |
| 3 1 -1 | 27.0 | 28 |
| 1 1 -7 | 31.7 | 30 |
| 2 0 6 | 31.8 | 100 |
| 4 2 -8 | 50.7 | 19 |
| 0 4 0 | 55.7 | 25 |

Atomic structure:
Lattice parameters (Å, degrees): 11.4236 6.5960 22.0083 90.00 100.27 90.00
Space group Cm (No. 8)
One atom of each set of equivalent atoms:
Ca 0.0000 0.0000 0.0000 (multiplicity 2)
Ca 0.0027 0.5000 0.4997 (multiplicity 2)
Ca 0.0141 0.0000 0.5994 (multiplicity 2)
Ca 0.1246 0.0000 0.8740 (multiplicity 2)
Ca 0.2478 0.5000 0.2506 (multiplicity 2)
Ca 0.2547 0.0000 0.7490 (multiplicity 2)
Ca 0.2642 0.0000 0.3439 (multiplicity 2)
Ca 0.3767 0.5000 0.1267 (multiplicity 2)
Ag 0.0023 0.2518 0.7508 (multiplicity 4)
Ag 0.0235 0.5000 0.0900 (multiplicity 2)
Ag 0.1260 0.5000 0.3756 (multiplicity 2)
Ag 0.2241 0.0000 0.1550 (multiplicity 2)
Ag 0.2237 0.5000 0.6582 (multiplicity 2)
Ag 0.2504 0.2500 0.0003 (multiplicity 4)
Ag 0.2512 0.2491 0.4998 (multiplicity 4)
Ag 0.2746 0.5000 0.8448 (multiplicity 2)
Ag 0.3743 0.0000 0.6240 (multiplicity 2)
Ag 0.4743 0.5000 0.4046 (multiplicity 2)
Ag 0.4778 0.0000 0.9106 (multiplicity 2)
Ag 0.4980 0.2459 0.2503 (multiplicity 4)
O 0.0498 0.5000 0.6835 (multiplicity 2)
O 0.0512 0.5000 0.1945 (multiplicity 2)
O 0.0551 0.0000 0.7027 (multiplicity 2)
O 0.0634 0.0000 0.1996 (multiplicity 2)
O 0.0854 0.2359 0.9446 (multiplicity 4)
O 0.0896 0.2742 0.4371 (multiplicity 4)
O 0.1610 0.2803 0.3120 (multiplicity 4)
O 0.1696 0.2403 0.8044 (multiplicity 4)
O 0.1953 0.0000 0.5666 (multiplicity 2)
O 0.1946 0.5000 0.0543 (multiplicity 2)
O 0.1978 0.0000 0.0542 (multiplicity 2)
O 0.2043 0.5000 0.5499 (multiplicity 2)
O 0.3019 0.5000 0.9459 (multiplicity 2)
O 0.3030 0.0000 0.4499 (multiplicity 2)
O 0.3066 0.0000 0.9463 (multiplicity 2)
O 0.3139 0.5000 0.4385 (multiplicity 2)
O 0.3327 0.2598 0.1965 (multiplicity 4)
O 0.3401 0.2266 0.6861 (multiplicity 4)
O 0.4149 0.2206 0.5607 (multiplicity 4)
O 0.4153 0.2644 0.0560 (multiplicity 4)
O 0.4353 0.5000 0.8071 (multiplicity 2)
O 0.4423 0.0000 0.3060 (multiplicity 2)
O 0.4495 0.5000 0.3028 (multiplicity 2)
O 0.4523 0.0000 0.8022 (multiplicity 2)


# 3
Theoretical X-ray powder pattern of Li2AgPd for Cu Kα X-rays, from the PBE geometry in the Materials Project.
No peak broadening, texture or thermal motion is included.

Main lines, in order of rising 2θ (10° ≤ 2θ ≤ 90°):
| index | Position (°2θ) | I/Imax |
| --- | --- | --- |
| 2 0 0 | 29.0 | 100 |
| 2 2 0 | 41.5 | 90 |
| 2 2 2 | 51.4 | 26 |
| 4 0 0 | 60.1 | 14 |
| 4 2 0 | 68.1 | 32 |
| 4 2 2 | 75.6 | 29 |

Atomic structure:
Lattice parameters (Å, degrees): 6.1608 6.1608 6.1608 90.00 90.00 90.00
Space group Fm-3m (No. 225)
One atom of each set of equivalent atoms:
Li 0.2500 0.2500 0.2500 (multiplicity 8)
Ag 0.0000 0.0000 0.0000 (multiplicity 4)
Pd 0.0000 0.0000 0.5000 (multiplicity 4)


# 4
Theoretical X-ray powder pattern of LiHS for Cu Kα X-rays, from the PBE geometry in the Materials Project.
No peak broadening, texture or thermal motion is included.

Main lines, in order of rising 2θ (10° ≤ 2θ ≤ 90°):
| index | Position (°2θ) | I/Imax |
| --- | --- | --- |
| 2 0 1 | 26.8 | 100 |
| 0 0 2 | 28.9 | 16 |
| 2 2 0 | 32.1 | 19 |
| 2 2 2 | 43.7 | 28 |
| 2 0 3 | 49.9 | 15 |
| 4 2 1 | 54.1 | 20 |

Atomic structure:
Lattice parameters (Å, degrees): 7.8899 7.8899 6.1888 90.00 90.00 90.00
Space group P4_2/mbc (No. 135)
One atom of each set of equivalent atoms:
Li 0.0000 0.0000 0.2500 (multiplicity 4)
Li 0.0000 0.5000 0.2500 (multiplicity 4)
H 0.1868 0.2511 0.0000 (multiplicity 8)
S 0.0155 0.2498 0.0000 (multiplicity 8)


# 5
Theoretical X-ray powder pattern of Mg6ZrV for Cu Kα X-rays, from the PBE geometry in the Materials Project.
No peak broadening, texture or thermal motion is included.

Main lines, in order of rising 2θ (10° ≤ 2θ ≤ 90°):
| index | Position (°2θ) | I/Imax |
| --- | --- | --- |
| 0 0 2 | 16.1 | 31 |
| 1 0 0 | 17.6 | 22 |
| 0 2 2 | 33.1 | 30 |
| 2 0 0 | 35.5 | 38 |
| 1 0 4 | 37.2 | 52 |
| 1 2 2 | 37.7 | 100 |

Atomic structure:
Lattice parameters (Å, degrees): 5.0506 6.2172 11.0174 90.00 90.00 90.00
Space group Amm2 (No. 38)
One atom of each set of equivalent atoms:
Mg 0.0000 0.0000 0.0000 (multiplicity 2)
Mg 0.0000 0.0000 0.4957 (multiplicity 2)
Mg 0.0000 0.2441 0.2583 (multiplicity 4)
Mg 0.5000 0.2466 0.0879 (multiplicity 4)
Zr 0.5000 0.0000 0.8369 (multiplicity 2)
V 0.5000 0.0000 0.3360 (multiplicity 2)


# 6
Theoretical X-ray powder pattern of K3Cu for Cu Kα X-rays, from the PBE geometry in the Materials Project.
No peak broadening, texture or thermal motion is included.

Main lines, in order of rising 2θ (10° ≤ 2θ ≤ 90°):
| index | Position (°2θ) | I/Imax |
| --- | --- | --- |
| 1 1 1 | 26.6 | 100 |
| 2 0 0 | 30.8 | 50 |
| 2 2 0 | 44.1 | 34 |
| 3 1 1 | 52.2 | 40 |
| 3 3 1 | 70.6 | 14 |
| 4 2 0 | 72.8 | 13 |

Atomic structure:
Lattice parameters (Å, degrees): 5.8132 5.8132 5.8132 90.00 90.00 90.00
Space group Pm-3m (No. 221)
One atom of each set of equivalent atoms:
K 0.0000 0.0000 0.5000 (multiplicity 3)
Cu 0.5000 0.5000 0.5000 (multiplicity 1)